Simulated XRD peak list
Compound: Mn3OF5
Radiation: CuKα
Structure: the GGA+U geometry in Alexandria
No peak broadening, texture or thermal motion is included.

Structure:
a = 5.9236 Å, b = 4.8578 Å, c = 8.1195 Å
α = 90.00°, β = 92.17°, γ = 90.00°
Space group P2_1 (No. 4)
One atom of each set of equivalent atoms:
Mn (0.0682, 0.0000, 0.3276)
Mn (0.2521, 0.5012, 0.9868)
Mn (0.4086, 0.9613, 0.6699)
O (0.2238, 0.6711, 0.7822)
F (0.0506, 0.7789, 0.0934)
F (0.1230, 0.1753, 0.5638)
F (0.2777, 0.3081, 0.2099)
F (0.3766, 0.7819, 0.4268)
F (0.4522, 0.1981, 0.9031)

Top 10 peaks for 10° ≤ 2θ ≤ 80°, low angle first:
Position (°2θ)  intensity  (hkl)
25.9  100  1 1 -1
32.6  15  2 0 1
32.9  26  1 1 2
33.1  12  0 0 3
37.6  12  2 1 1
49.9  17  3 1 0
50.1  16  2 2 1
50.5  16  0 2 3
50.6  15  1 1 -4
53.3  19  2 2 -2